For Pr2AgHg8, a cell relaxed with PBE gives the computed powder X-ray diffraction pattern in this record (Cu Kα).
No peak broadening, texture or thermal motion is included.

Main lines, in order of rising 2θ (2θ = 10–80°):
two_theta  I_rel  h k l
30.0  18  1 1 2
34.1  100  1 1 3
35.7  11  0 0 5
37.7  46  2 0 0
52.9  14  2 0 5
54.4  16  2 2 0
58.6  10  2 0 6
65.5  12  1 1 8
65.7  30  3 1 3
71.8  7  2 2 6

Atomic structure:
```
Pr2AgHg8
1.0
4.7739 0.0000 0.0000
0.0000 4.7739 0.0000
0.0000 0.0000 12.5841
Pr Ag Hg
2 1 8
Direct
0.0000 0.0000 0.1939 Pr
0.0000 0.0000 0.8061 Pr
0.0000 0.0000 0.5000 Ag
0.0000 0.5000 0.0000 Hg
0.0000 0.5000 0.3671 Hg
0.0000 0.5000 0.6329 Hg
0.5000 0.0000 0.0000 Hg
0.5000 0.0000 0.3671 Hg
0.5000 0.0000 0.6329 Hg
0.5000 0.5000 0.1749 Hg
0.5000 0.5000 0.8251 Hg
```